Computed X-ray diffraction stick pattern of K2RbPtF5 for Cu Kα X-rays, from a cell relaxed with GGA-PBE.

Structure:
```
K2RbPtF5
1.0
6.9522 0.0000 0.0000
0.0000 6.9522 0.0000
0.0000 0.0000 6.1404
K Rb Pt F
4 2 2 10
direct
0.1680 0.3320 0.0000
0.3320 0.8320 0.0000
0.6680 0.1680 0.0000
0.8320 0.6680 0.0000
0.0000 0.0000 0.5000
0.5000 0.5000 0.5000
0.0000 0.5000 0.5000
0.5000 0.0000 0.5000
0.0000 0.0000 0.0000
0.1437 0.6437 0.2742
0.1437 0.6437 0.7258
0.3563 0.1437 0.2742
0.3563 0.1437 0.7258
0.5000 0.5000 0.0000
0.6437 0.8563 0.2742
0.6437 0.8563 0.7258
0.8563 0.3563 0.2742
0.8563 0.3563 0.7258
```

Principal peaks in the range 10 to 90 degrees two-theta, sorted by position:
d 6.140, 14.4°, rel. 51; d 4.916, 18.0°, rel. 34; d 3.838, 23.2°, rel. 24; d 3.476, 25.6°, rel. 45; d 3.070, 29.1°, rel. 27; d 3.025, 29.5°, rel. 100; d 2.458, 36.6°, rel. 34; d 2.301, 39.1°, rel. 40; d 2.282, 39.5°, rel. 29; d 1.919, 47.4°, rel. 30

Computed X-ray diffraction stick pattern of TbDyAg2Bi4 for Cu Kα X-rays, from a cell relaxed with GGA-PBE.

Structure:
```
TbDyAg2Bi4
1.0
4.5397 0.0000 0.0000
0.0000 4.5397 0.0000
0.0000 0.0000 10.2677
Tb Dy Ag Bi
1 1 2 4
direct
0.0000 0.0000 0.0000
0.5000 0.5000 0.4961
0.0000 0.5000 0.7475
0.5000 0.0000 0.7475
0.0000 0.0000 0.5573
0.0000 0.5000 0.2483
0.5000 0.0000 0.2483
0.5000 0.5000 0.9379
```

Principal peaks in the range 10 to 90 degrees two-theta, sorted by position:
d 3.423, 26.0°, rel. 8; d 3.401, 26.2°, rel. 9; d 3.064, 29.1°, rel. 10; d 2.722, 32.9°, rel. 100; d 2.567, 35.0°, rel. 13; d 2.270, 39.7°, rel. 36; d 1.700, 53.9°, rel. 15; d 1.605, 57.4°, rel. 12; d 1.383, 67.8°, rel. 25; d 1.361, 69.0°, rel. 7

Computed X-ray diffraction stick pattern of CuAg4 for Cu Kα X-rays, from a cell relaxed with GGA-PBE.

Structure:
```
CuAg4
1.0
7.0110 0.0000 0.0000
0.0000 2.8891 0.0000
-2.2447 0.0000 8.2571
Cu Ag
2 8
direct
0.0457 0.2500 0.1378
0.9543 0.7500 0.8622
0.1471 0.7500 0.4384
0.2415 0.2500 0.7528
0.3359 0.7500 0.0501
0.4515 0.2500 0.3469
0.5485 0.7500 0.6531
0.6641 0.2500 0.9499
0.7585 0.7500 0.2472
0.8529 0.2500 0.5616
```

Principal peaks in the range 10 to 90 degrees two-theta, sorted by position:
d 2.346, 38.4°, rel. 100; d 2.337, 38.5°, rel. 33; d 2.038, 44.4°, rel. 43; d 2.012, 45.0°, rel. 20; d 1.434, 65.1°, rel. 13; d 1.431, 65.2°, rel. 12; d 1.229, 77.7°, rel. 15; d 1.227, 77.8°, rel. 7; d 1.225, 78.0°, rel. 7; d 1.217, 78.6°, rel. 10

Computed X-ray diffraction stick pattern of NaScZnS3 for Cu Kα X-rays, from a cell relaxed with GGA-PBE.

Structure:
```
NaScZnS3
1.0
1.8734 -6.5104 0.0000
1.8734 6.5104 0.0000
0.0000 0.0000 10.0624
Na Sc Zn S
2 2 2 6
direct
0.2504 0.7496 0.7500
0.7496 0.2504 0.2500
0.0000 0.0000 0.0000
0.0000 0.0000 0.5000
0.4664 0.5336 0.2500
0.5336 0.4664 0.7500
0.0765 0.9235 0.2500
0.3700 0.6300 0.0598
0.3700 0.6300 0.4402
0.6300 0.3700 0.5598
0.6300 0.3700 0.9402
0.9235 0.0765 0.7500
```

Principal peaks in the range 10 to 90 degrees two-theta, sorted by position:
d 6.510, 13.6°, rel. 100; d 2.730, 32.8°, rel. 68; d 2.516, 35.7°, rel. 28; d 2.471, 36.4°, rel. 60; d 2.347, 38.4°, rel. 15; d 1.991, 45.6°, rel. 15; d 1.968, 46.1°, rel. 28; d 1.873, 48.6°, rel. 19; d 1.802, 50.6°, rel. 20; d 1.642, 56.0°, rel. 22

Computed X-ray diffraction stick pattern of DyCuSbAs for Cu Kα X-rays, from a cell relaxed with GGA-PBE.

Structure:
```
DyCuSbAs
1.0
4.1158 0.0000 0.0000
0.0000 4.1158 0.0000
0.0000 0.0000 9.8386
Dy Cu Sb As
2 2 2 2
direct
0.2500 0.2500 0.2425
0.7500 0.7500 0.7575
0.2500 0.7500 0.0000
0.7500 0.2500 0.0000
0.2500 0.7500 0.5000
0.7500 0.2500 0.5000
0.2500 0.2500 0.8436
0.7500 0.7500 0.1564
```

Principal peaks in the range 10 to 90 degrees two-theta, sorted by position:
d 3.797, 23.4°, rel. 19; d 2.565, 35.0°, rel. 22; d 2.505, 35.9°, rel. 100; d 2.460, 36.5°, rel. 14; d 2.058, 44.0°, rel. 36; d 1.775, 51.5°, rel. 13; d 1.605, 57.4°, rel. 11; d 1.578, 58.5°, rel. 14; d 1.455, 64.0°, rel. 11; d 1.258, 75.6°, rel. 22

Computed X-ray diffraction stick pattern of TcMo for Cu Kα X-rays, from a cell relaxed with GGA-PBE.

Structure:
```
TcMo
1.0
3.1215 0.0000 0.0000
0.0000 3.1215 0.0000
0.0000 0.0000 3.1215
Tc Mo
1 1
direct
0.0000 0.0000 0.0000
0.5000 0.5000 0.5000
```

Principal peaks in the range 10 to 90 degrees two-theta, sorted by position:
d 2.207, 40.9°, rel. 100; d 1.561, 59.2°, rel. 16; d 1.274, 74.5°, rel. 33; d 1.104, 88.6°, rel. 11

Computed X-ray diffraction stick pattern of In2Ni for Cu Kα X-rays, from a cell relaxed with GGA-PBE.

Structure:
```
In2Ni
1.0
6.2635 0.0000 0.0000
0.0000 6.2635 0.0000
0.0000 0.0000 3.4321
In Ni
4 2
direct
0.2159 0.2159 0.0000
0.2841 0.7159 0.5000
0.7159 0.2841 0.5000
0.7841 0.7841 0.0000
0.0000 0.0000 0.5000
0.5000 0.5000 0.0000
```

Principal peaks in the range 10 to 90 degrees two-theta, sorted by position:
d 4.429, 20.0°, rel. 21; d 3.132, 28.5°, rel. 32; d 2.801, 32.0°, rel. 20; d 2.713, 33.0°, rel. 100; d 2.214, 40.7°, rel. 37; d 2.170, 41.6°, rel. 26; d 1.784, 51.2°, rel. 24; d 1.716, 53.4°, rel. 44; d 1.356, 69.3°, rel. 19; d 1.102, 88.8°, rel. 14

Computed X-ray diffraction stick pattern of Th2NiTe for Cu Kα X-rays, from a cell relaxed with GGA-PBE.

Structure:
```
Th2NiTe
1.0
3.8206 0.0000 0.0000
-1.9103 3.3087 0.0000
0.0000 0.0000 9.6232
Th Ni Te
2 1 1
direct
0.0000 0.0000 0.1857
0.0000 0.0000 0.8143
0.6667 0.3333 0.0000
0.0000 0.0000 0.5000
```

Principal peaks in the range 10 to 90 degrees two-theta, sorted by position:
d 3.309, 26.9°, rel. 100; d 3.208, 27.8°, rel. 24; d 2.726, 32.9°, rel. 21; d 2.303, 39.1°, rel. 86; d 1.910, 47.6°, rel. 30; d 1.654, 55.5°, rel. 14; d 1.641, 56.0°, rel. 21; d 1.470, 63.2°, rel. 21; d 1.443, 64.6°, rel. 11; d 1.165, 82.9°, rel. 20

Computed X-ray diffraction stick pattern of Hf3NiAs4Pd3 for Cu Kα X-rays, from a cell relaxed with GGA-PBE.

Structure:
```
Hf3NiAs4Pd3
1.0
6.5902 0.0000 0.0000
0.0000 3.8975 0.0000
-0.0076 0.0000 7.5850
Hf Ni As Pd
3 1 4 3
direct
0.0000 0.0000 0.0000
0.0771 0.5000 0.6208
0.5655 0.5000 0.4858
0.1592 0.5000 0.2510
0.2816 0.5000 0.9509
0.2995 0.0000 0.3972
0.7634 0.5000 0.1841
0.7857 0.0000 0.6818
0.3736 0.0000 0.7401
0.6726 0.5000 0.8687
0.9064 0.0000 0.3680
```

Principal peaks in the range 10 to 90 degrees two-theta, sorted by position:
d 7.585, 11.7°, rel. 21; d 2.514, 35.7°, rel. 100; d 2.488, 36.1°, rel. 17; d 2.388, 37.7°, rel. 76; d 2.361, 38.1°, rel. 29; d 2.121, 42.6°, rel. 37; d 2.019, 44.9°, rel. 21; d 1.949, 46.6°, rel. 34; d 1.901, 47.9°, rel. 19; d 1.347, 69.8°, rel. 15

Computed X-ray diffraction stick pattern of Ni17Hg for Cu Kα X-rays, from a cell relaxed with GGA-PBE.

Structure:
```
Ni17Hg
1.0
4.2642 0.0000 0.0000
0.0000 4.9504 0.0000
-0.1307 0.0000 31.2324
Ni Hg
34 2
direct
0.0000 0.0000 0.0000
0.0002 0.0023 0.1935
0.0002 0.4977 0.1935
0.0000 0.5000 0.0000
0.9998 0.5023 0.8065
0.9998 0.9977 0.8065
0.1660 0.7500 0.8711
0.1666 0.2500 0.0646
0.1671 0.2500 0.8714
0.1672 0.7500 0.0645
0.1672 0.7500 0.2568
0.3335 0.0000 0.9356
0.3335 0.5000 0.9356
0.3335 0.0008 0.1291
0.3336 0.0085 0.7432
0.3336 0.4915 0.7432
0.3335 0.4992 0.1291
0.4979 0.2500 0.1944
0.4992 0.7500 0.1928
0.5000 0.2500 0.0001
0.5000 0.7500 0.9999
0.5008 0.2500 0.8072
0.5021 0.7500 0.8056
0.6665 0.5008 0.8709
0.6664 0.5085 0.2568
0.6664 0.9915 0.2568
0.6665 0.9992 0.8709
0.6665 0.0000 0.0644
0.6665 0.5000 0.0644
0.8328 0.2500 0.7432
0.8328 0.2500 0.9355
0.8329 0.7500 0.1286
0.8334 0.7500 0.9354
0.8340 0.2500 0.1289
0.1671 0.2500 0.2829
0.8329 0.7500 0.7171
```

Principal peaks in the range 10 to 90 degrees two-theta, sorted by position:
d 7.808, 11.3°, rel. 46; d 2.082, 43.5°, rel. 31; d 2.064, 43.9°, rel. 24; d 2.024, 44.8°, rel. 100; d 2.020, 44.9°, rel. 49; d 1.979, 45.9°, rel. 29; d 1.767, 51.7°, rel. 52; d 1.757, 52.0°, rel. 25; d 1.711, 53.6°, rel. 18; d 1.233, 77.4°, rel. 20

Computed X-ray diffraction stick pattern of SnAu15 for Cu Kα X-rays, from a cell relaxed with GGA-PBE.

Structure:
```
SnAu15
1.0
4.1196 0.0000 0.0000
0.0000 4.1187 0.0000
0.0000 0.0000 46.2293
Sn Au
2 30
direct
0.2500 0.0000 0.1510
0.7500 0.0000 0.8490
0.2500 0.0000 0.2503
0.2500 0.0000 0.3416
0.2500 0.0000 0.4323
0.2500 0.0000 0.5225
0.2500 0.0000 0.6130
0.2500 0.0000 0.7038
0.2500 0.0000 0.7958
0.2500 0.5000 0.2043
0.2500 0.5000 0.2962
0.2500 0.5000 0.3870
0.2500 0.5000 0.4775
0.2500 0.5000 0.5677
0.2500 0.5000 0.6583
0.2500 0.5000 0.7493
0.2500 0.5000 0.8420
0.7500 0.0000 0.2042
0.7500 0.0000 0.2962
0.7500 0.0000 0.3870
0.7500 0.0000 0.4775
0.7500 0.0000 0.5677
0.7500 0.0000 0.6584
0.7500 0.0000 0.7497
0.7500 0.5000 0.1580
0.7500 0.5000 0.2507
0.7500 0.5000 0.3417
0.7500 0.5000 0.4323
0.7500 0.5000 0.5225
0.7500 0.5000 0.6130
0.7500 0.5000 0.7038
0.7500 0.5000 0.7957
```

Principal peaks in the range 10 to 90 degrees two-theta, sorted by position:
d 2.464, 36.5°, rel. 14; d 2.394, 37.6°, rel. 100; d 2.323, 38.8°, rel. 12; d 2.101, 43.0°, rel. 17; d 2.059, 44.0°, rel. 41; d 1.471, 63.2°, rel. 21; d 1.456, 63.9°, rel. 14; d 1.262, 75.3°, rel. 14; d 1.244, 76.6°, rel. 26; d 1.197, 80.2°, rel. 11

Computed X-ray diffraction stick pattern of Pr4InGe4Pd2 for Cu Kα X-rays, from a cell relaxed with GGA-PBE.

Structure:
```
Pr4InGe4Pd2
1.0
8.2062 -2.2284 0.0000
8.2062 2.2284 0.0000
-2.3217 0.0000 7.0191
Pr In Ge Pd
4 1 4 2
direct
0.0899 0.0899 0.3845
0.1545 0.1545 0.9316
0.8455 0.8455 0.0684
0.9101 0.9101 0.6155
0.5000 0.5000 0.0000
0.2983 0.2983 0.7316
0.4402 0.4402 0.3401
0.5598 0.5598 0.6599
0.7017 0.7017 0.2684
0.2862 0.2862 0.3512
0.7138 0.7138 0.6488
```

Principal peaks in the range 10 to 90 degrees two-theta, sorted by position:
d 2.838, 31.5°, rel. 28; d 2.829, 31.6°, rel. 65; d 2.730, 32.8°, rel. 100; d 2.627, 34.1°, rel. 46; d 2.607, 34.4°, rel. 60; d 2.554, 35.1°, rel. 51; d 2.496, 36.0°, rel. 29; d 2.340, 38.5°, rel. 28; d 2.228, 40.5°, rel. 61; d 2.219, 40.7°, rel. 24

Computed X-ray diffraction stick pattern of Pr2Nd2C2Br5 for Cu Kα X-rays, from a cell relaxed with GGA-PBE.

Structure:
```
Pr2Nd2C2Br5
1.0
9.7832 -1.9706 0.0000
9.7832 1.9706 0.0000
-2.1692 0.0000 8.0039
Pr Nd C Br
2 2 2 5
direct
0.1579 0.1579 0.1039
0.8421 0.8421 0.8961
0.5000 0.5000 0.2021
0.5000 0.5000 0.7979
0.0372 0.0372 0.0236
0.9628 0.9628 0.9764
0.0000 0.0000 0.5000
0.3337 0.3337 0.1695
0.3407 0.3407 0.6263
0.6593 0.6593 0.3737
0.6663 0.6663 0.8305
```

Principal peaks in the range 10 to 90 degrees two-theta, sorted by position:
d 8.004, 11.1°, rel. 32; d 3.247, 27.5°, rel. 26; d 3.148, 28.4°, rel. 72; d 2.941, 30.4°, rel. 23; d 2.855, 31.3°, rel. 100; d 2.153, 42.0°, rel. 36; d 2.078, 43.5°, rel. 41; d 1.971, 46.1°, rel. 20; d 1.670, 55.0°, rel. 22; d 1.574, 58.6°, rel. 14